Record 1
Theoretical powder X-ray diffraction pattern of Pr6Cu5 for copper Kα, from a DFT-relaxed cell (GGA-PBE, Alexandria).
Kinematic intensities with the Lorentz-polarization factor, no thermal factor.

Cell lengths 8.800, 8.800, 5.093 Å; angles 106.68, 106.68, 48.47 degrees
Element x y z (fractional)
Pr1 0.085 0.585 0.335
Pr2 0.249 0.751 0.000
Pr3 0.415 0.915 0.665
Pr4 0.585 0.085 0.335
Pr5 0.751 0.249 0.000
Pr6 0.915 0.415 0.665
Cu1 0.000 0.000 0.500
Cu2 0.168 0.168 0.169
Cu3 0.329 0.329 0.828
Cu4 0.671 0.671 0.172
Cu5 0.832 0.832 0.831

Most intense lines, 10 to 90 degrees two-theta, most intense first:
2theta, I/Imax
35.22, 100
63.15, 21
35.35, 20
24.68, 18
63.30, 14
24.79, 9
50.53, 7
50.70, 7
63.42, 7
50.85, 7

---

Record 2
Theoretical powder X-ray diffraction pattern of PmHo5Tm for copper Kα, from a DFT-relaxed cell (GGA-PBE, Alexandria).
Kinematic intensities with the Lorentz-polarization factor, no thermal factor.

Cell lengths 6.473, 6.473, 11.401 Å; angles 103.34, 103.34, 95.70 degrees
Element x y z (fractional)
Pm1 0.000 0.500 0.000
Pm2 0.500 0.000 0.500
Ho1 0.068 0.273 0.535
Ho2 0.085 0.915 0.250
Ho3 0.273 0.068 0.035
Ho4 0.303 0.447 0.333
Ho5 0.447 0.303 0.833
Ho6 0.553 0.697 0.167
Ho7 0.697 0.553 0.667
Ho8 0.727 0.932 0.965
Ho9 0.915 0.085 0.750
Ho10 0.932 0.727 0.465
Tm1 0.259 0.741 0.750
Tm2 0.741 0.259 0.250

Most intense lines, 10 to 90 degrees two-theta, most intense first:
2theta, I/Imax
32.19, 100
32.77, 72
31.83, 48
32.89, 43
46.42, 26
57.66, 21
29.20, 18
57.91, 16
32.44, 15
56.93, 14

---

Record 3
Theoretical powder X-ray diffraction pattern of SrEr4Se5 for copper Kα, from a DFT-relaxed cell (GGA-PBE, Alexandria).
Kinematic intensities with the Lorentz-polarization factor, no thermal factor.

Cell lengths 10.846, 10.846, 10.846 Å; angles 158.09, 149.00, 38.28 degrees
Element x y z (fractional)
Sr1 0.000 0.000 0.000
Er1 0.206 0.206 0.000
Er2 0.398 0.398 0.000
Er3 0.602 0.602 0.000
Er4 0.794 0.794 0.000
Se1 0.108 0.608 0.500
Se2 0.302 0.802 0.500
Se3 0.500 0.000 0.500
Se4 0.698 0.198 0.500
Se5 0.892 0.392 0.500

Most intense lines, 10 to 90 degrees two-theta, most intense first:
2theta, I/Imax
30.79, 100
44.14, 60
72.95, 16
54.64, 13
43.92, 13
54.87, 12
81.29, 11
72.80, 10
26.53, 9
26.64, 9

---

Record 4
Theoretical powder X-ray diffraction pattern of Li2HoMgHg2 for copper Kα, from a DFT-relaxed cell (GGA-PBE, Alexandria).
Kinematic intensities with the Lorentz-polarization factor, no thermal factor.

Cell lengths 4.711, 4.711, 6.569 Å; angles 90.00, 90.00, 120.00 degrees
Element x y z (fractional)
Li1 0.333 0.667 0.187
Li2 0.667 0.333 0.813
Ho1 0.000 0.000 0.500
Mg1 0.000 0.000 0.000
Hg1 0.333 0.667 0.745
Hg2 0.667 0.333 0.255

Most intense lines, 10 to 90 degrees two-theta, most intense first:
2theta, I/Imax
25.70, 100
35.08, 53
38.21, 49
47.10, 21
46.62, 21
61.80, 18
52.83, 17
67.05, 16
69.82, 16
13.48, 12